Diffraction record for Li2Cu3Ge. The powder diffractogram is simulated, not measured: it uses a DFT-relaxed cell (GGA-PBE, the Materials Project) and a wavelength of 1.5418 Å.
Neutral-atom scattering factors, no anomalous dispersion.

Structure:
```
data_Li2Cu3Ge
_space_group_name_H-M_alt 'R -3 m'
_space_group_IT_number 166
_space_group_name_Hall '-R 3 2"'
_cell_length_a 4.9675
_cell_length_b 4.9675
_cell_length_c 11.8476
_cell_angle_alpha 90.00
_cell_angle_beta 90.00
_cell_angle_gamma 120.00
loop_
_atom_site_label
_atom_site_fract_x
_atom_site_fract_y
_atom_site_fract_z
Li1 0.0000 0.0000 0.1264
Cu1 0.0000 0.5000 0.0000
Ge1 0.0000 0.0000 0.5000
```

Top 8 peaks for 10° ≤ 2θ ≤ 90°, by angle:
h k l	d_spacing	two_theta	I (rel.)
1 0 1	4.044	21.98	100
0 0 3	3.949	22.51	26
0 2 1	2.116	42.72	18
1 1 3	2.102	43.02	41
0 1 5	2.076	43.61	20
2 0 2	2.022	44.83	63
0 0 6	1.975	45.96	20
0 2 4	1.740	52.58	36



Diffraction record for Bi2SO2. The powder diffractogram is simulated, not measured: it uses a DFT-relaxed cell (GGA-PBE, the Materials Project) and a wavelength of 1.5418 Å.
Neutral-atom scattering factors, no anomalous dispersion.

Structure:
```
data_Bi2SO2
_space_group_name_H-M_alt 'P n n m'
_space_group_IT_number 58
_space_group_name_Hall '-P 2 2n'
_cell_length_a 3.909
_cell_length_b 12.096
_cell_length_c 3.875
_cell_angle_alpha 90.00
_cell_angle_beta 90.00
_cell_angle_gamma 90.00
loop_
_atom_site_label
_atom_site_fract_x
_atom_site_fract_y
_atom_site_fract_z
Bi1 0.080 0.144 0.000
S1 0.000 0.500 0.000
O1 0.059 0.251 0.500
```

Top 8 peaks for 10° ≤ 2θ ≤ 90°, by angle:
h k l	d_spacing	two_theta	I (rel.)
1 1 0	3.719	23.93	44
0 1 1	3.690	24.12	59
1 2 0	3.283	27.16	34
0 4 0	3.024	29.54	33
1 3 0	2.806	31.89	79
0 3 1	2.794	32.03	100
1 0 1	2.752	32.54	76
1 4 1	2.035	44.52	51



Diffraction record for RbInO3. The powder diffractogram is simulated, not measured: it uses a DFT-relaxed cell (GGA-PBE, the Materials Project) and a wavelength of 1.5418 Å.
Neutral-atom scattering factors, no anomalous dispersion.

Structure:
```
data_RbInO3
_space_group_name_H-M_alt 'P m -3 m'
_space_group_IT_number 221
_space_group_name_Hall '-P 4 2 3'
_cell_length_a 4.355
_cell_length_b 4.355
_cell_length_c 4.355
_cell_angle_alpha 90.00
_cell_angle_beta 90.00
_cell_angle_gamma 90.00
loop_
_atom_site_label
_atom_site_fract_x
_atom_site_fract_y
_atom_site_fract_z
Rb1 0.000 0.000 0.000
In1 0.500 0.500 0.500
O1 0.000 0.500 0.500
```

Top 8 peaks for 10° ≤ 2θ ≤ 90°, by angle:
h k l	d_spacing	two_theta	I (rel.)
1 0 0	4.355	20.39	8
1 1 0	3.079	29.00	100
2 0 0	2.177	41.47	34
2 1 1	1.778	51.40	40
2 2 0	1.540	60.09	21
3 1 0	1.377	68.08	17
2 2 2	1.257	75.65	7
3 2 1	1.164	82.96	21



Diffraction record for Dy2Fe15Si2CN. The powder diffractogram is simulated, not measured: it uses a DFT-relaxed cell (GGA-PBE, the Materials Project) and a wavelength of 1.5418 Å.
Neutral-atom scattering factors, no anomalous dispersion.

Structure:
```
data_Dy2Fe15Si2CN
_space_group_name_H-M_alt 'P -1'
_space_group_IT_number 2
_space_group_name_Hall '-P 1'
_cell_length_a 6.451
_cell_length_b 6.468
_cell_length_c 6.475
_cell_angle_alpha 82.84
_cell_angle_beta 82.31
_cell_angle_gamma 82.69
loop_
_atom_site_label
_atom_site_fract_x
_atom_site_fract_y
_atom_site_fract_z
Dy1 0.160 0.157 0.150
Fe1 0.000 0.500 0.500
Fe2 0.154 0.158 0.647
Fe3 0.156 0.646 0.157
Fe4 0.207 0.501 0.792
Fe5 0.216 0.783 0.502
Fe6 0.351 0.842 0.846
Fe7 0.498 0.780 0.221
Fe8 0.500 0.000 0.500
Fe9 0.500 0.500 0.000
Si1 0.399 0.399 0.399
C1 0.000 0.000 0.500
N1 0.500 0.000 0.000
```

Top 8 peaks for 10° ≤ 2θ ≤ 90°, by angle:
h k l	d_spacing	two_theta	I (rel.)
1 2 0	2.985	29.94	58
0 2 2	2.389	37.65	33
0 2 -2	2.141	42.22	41
2 -2 0	2.132	42.39	69
2 0 -2	2.126	42.52	100
3 0 0	2.119	42.68	100
2 2 2	2.092	43.24	79
2 4 0	1.494	62.15	32



Diffraction record for Na3W2N5. The powder diffractogram is simulated, not measured: it uses a DFT-relaxed cell (GGA-PBE, the Materials Project) and a wavelength of 1.5418 Å.
Neutral-atom scattering factors, no anomalous dispersion.

Structure:
```
data_Na3W2N5
_space_group_name_H-M_alt 'I 41'
_space_group_IT_number 80
_space_group_name_Hall 'I 4bw'
_cell_length_a 12.211
_cell_length_b 12.211
_cell_length_c 8.728
_cell_angle_alpha 90.00
_cell_angle_beta 90.00
_cell_angle_gamma 90.00
loop_
_atom_site_label
_atom_site_fract_x
_atom_site_fract_y
_atom_site_fract_z
Na1 0.000 0.000 0.000
Na2 0.000 0.000 0.407
Na3 0.071 0.803 0.663
Na4 0.108 0.272 0.409
W1 0.089 0.311 0.983
W2 0.098 0.784 0.199
N1 0.025 0.138 0.212
N2 0.067 0.679 0.042
N3 0.093 0.112 0.585
N4 0.118 0.717 0.397
N5 0.139 0.174 0.903
```

Top 8 peaks for 10° ≤ 2θ ≤ 90°, by angle:
h k l	d_spacing	two_theta	I (rel.)
1 0 1	7.101	12.47	28
2 1 1	4.629	19.17	100
1 3 2	2.892	30.92	87
4 2 0	2.730	32.80	34
2 1 3	2.568	34.94	19
5 0 1	2.352	38.27	27
3 4 3	1.871	48.68	15
5 5 2	1.606	57.39	25



Diffraction record for Sn. The powder diffractogram is simulated, not measured: it uses a DFT-relaxed cell (GGA-PBE, the Materials Project) and a wavelength of 1.5418 Å.
Neutral-atom scattering factors, no anomalous dispersion.

Structure:
```
data_Sn
_space_group_name_H-M_alt 'I 41/a m d'
_space_group_IT_number 141
_cell_length_a 5.908
_cell_length_b 5.908
_cell_length_c 3.246
_cell_angle_alpha 90.00
_cell_angle_beta 90.00
_cell_angle_gamma 90.00
loop_
_space_group_symop_operation_xyz
'x,y,z'
'-x,-y,-z'
'-y+1/4,x+3/4,z+1/4'
'y+1/4,-x+3/4,-z+1/4'
'-x+1/2,-y,z+1/2'
'x+1/2,y,-z+1/2'
'y+1/4,-x+1/4,z+3/4'
'-y+1/4,x+1/4,-z+3/4'
'x,-y,-z'
'-x,y,z'
'-y+1/4,-x+1/4,-z+3/4'
'y+1/4,x+1/4,z+3/4'
'-x+1/2,y,-z+1/2'
'x+1/2,-y,z+1/2'
'y+1/4,x+3/4,-z+1/4'
'-y+1/4,-x+3/4,z+1/4'
'x+1/2,y+1/2,z+1/2'
'-x+1/2,-y+1/2,-z+1/2'
'-y+3/4,x+1/4,z+3/4'
'y+3/4,-x+1/4,-z+3/4'
'-x,-y+1/2,z'
'x,y+1/2,-z'
'y+3/4,-x+3/4,z+1/4'
'-y+3/4,x+3/4,-z+1/4'
'x+1/2,-y+1/2,-z+1/2'
'-x+1/2,y+1/2,z+1/2'
'-y+3/4,-x+3/4,-z+1/4'
'y+3/4,x+3/4,z+1/4'
'-x,y+1/2,-z'
'x,-y+1/2,z'
'y+3/4,x+1/4,-z+3/4'
'-y+3/4,-x+1/4,z+3/4'
loop_
_atom_site_label
_atom_site_fract_x
_atom_site_fract_y
_atom_site_fract_z
Sn1 0.000 0.250 0.375
```

Top 8 peaks for 10° ≤ 2θ ≤ 90°, by angle:
h k l	d_spacing	two_theta	I (rel.)
2 0 0	2.954	30.26	100
1 0 1	2.845	31.45	91
2 2 0	2.089	43.32	38
2 1 1	2.049	44.20	73
3 0 1	1.684	54.50	20
1 1 2	1.513	61.28	28
3 2 1	1.463	63.61	25
3 1 2	1.225	77.99	30



Diffraction record for Ba4Tb2Cd3S10. The powder diffractogram is simulated, not measured: it uses a DFT-relaxed cell (GGA-PBE, the Materials Project) and a wavelength of 1.5418 Å.
Neutral-atom scattering factors, no anomalous dispersion.

Structure:
```
data_Ba4Tb2Cd3S10
_space_group_name_H-M_alt 'C m c 21'
_space_group_IT_number 36
_space_group_name_Hall 'C 2c -2'
_cell_length_a 4.191
_cell_length_b 18.270
_cell_length_c 26.943
_cell_angle_alpha 90.00
_cell_angle_beta 90.00
_cell_angle_gamma 90.00
loop_
_atom_site_label
_atom_site_fract_x
_atom_site_fract_y
_atom_site_fract_z
Ba1 0.000 0.076 0.000
Ba2 0.000 0.095 0.817
Ba3 0.000 0.337 0.045
Ba4 0.000 0.338 0.766
Tb1 0.000 0.003 0.656
Tb2 0.000 0.421 0.903
Cd1 0.000 0.283 0.424
Cd2 0.000 0.341 0.194
Cd3 0.000 0.346 0.612
S1 0.000 0.076 0.336
S2 0.000 0.089 0.472
S3 0.000 0.150 0.167
S4 0.000 0.153 0.637
S5 0.000 0.270 0.890
S6 0.000 0.289 0.278
S7 0.000 0.293 0.525
S8 0.000 0.427 0.409
S9 0.000 0.484 0.223
S10 0.000 0.489 0.586
```

Top 8 peaks for 10° ≤ 2θ ≤ 90°, by angle:
h k l	d_spacing	two_theta	I (rel.)
0 2 7	3.547	25.11	38
0 4 5	3.485	25.56	30
1 3 0	3.452	25.81	44
1 3 1	3.424	26.02	31
1 1 6	3.022	29.56	100
0 6 2	2.970	30.09	61
1 7 4	2.104	42.99	38
2 0 0	2.095	43.17	33



Diffraction record for Co21B6Sb2. The powder diffractogram is simulated, not measured: it uses a DFT-relaxed cell (GGA-PBE, the Materials Project) and a wavelength of 1.5418 Å.
Neutral-atom scattering factors, no anomalous dispersion.

Structure:
```
data_Co21B6Sb2
_space_group_name_H-M_alt 'F m -3 m'
_space_group_IT_number 225
_space_group_name_Hall '-F 4 2 3'
_cell_length_a 10.543
_cell_length_b 10.543
_cell_length_c 10.543
_cell_angle_alpha 90.00
_cell_angle_beta 90.00
_cell_angle_gamma 90.00
loop_
_atom_site_label
_atom_site_fract_x
_atom_site_fract_y
_atom_site_fract_z
Co1 0.000 0.000 0.000
Co2 0.000 0.167 0.167
Co3 0.116 0.116 0.384
B1 0.000 0.000 0.276
Sb1 0.250 0.250 0.250
```

Top 8 peaks for 10° ≤ 2θ ≤ 90°, by angle:
h k l	d_spacing	two_theta	I (rel.)
4 2 0	2.357	38.18	51
4 2 2	2.152	41.98	52
3 3 3	2.029	44.66	100
4 4 0	1.864	48.87	30
5 3 1	1.782	51.27	26
6 2 2	1.589	58.03	14
6 4 4	1.278	74.17	14
6 6 0	1.242	76.70	30



Q: Number 6 is which compound?
A: Sn



What did the second record say?
Diffraction record for Bi2SO2. The powder diffractogram is simulated, not measured: it uses a DFT-relaxed cell (GGA-PBE, the Materials Project) and a wavelength of 1.5418 Å.
Neutral-atom scattering factors, no anomalous dispersion.

Structure:
```
data_Bi2SO2
_space_group_name_H-M_alt 'P n n m'
_space_group_IT_number 58
_space_group_name_Hall '-P 2 2n'
_cell_length_a 3.909
_cell_length_b 12.096
_cell_length_c 3.875
_cell_angle_alpha 90.00
_cell_angle_beta 90.00
_cell_angle_gamma 90.00
loop_
_atom_site_label
_atom_site_fract_x
_atom_site_fract_y
_atom_site_fract_z
Bi1 0.080 0.144 0.000
S1 0.000 0.500 0.000
O1 0.059 0.251 0.500
```

Top 8 peaks for 10° ≤ 2θ ≤ 90°, by angle:
h k l	d_spacing	two_theta	I (rel.)
1 1 0	3.719	23.93	44
0 1 1	3.690	24.12	59
1 2 0	3.283	27.16	34
0 4 0	3.024	29.54	33
1 3 0	2.806	31.89	79
0 3 1	2.794	32.03	100
1 0 1	2.752	32.54	76
1 4 1	2.035	44.52	51